Computed powder XRD pattern of La3Ni2O7 for a wavelength of 1.5418 Å, from a cell relaxed with PBE+U.
Peak positions follow from Bragg's law for the DFT cell and can differ from measured ones.

Most intense lines, 10 to 80 degrees two-theta, by intensity:
- 31.7°, I 100
- 46.5°, I 34
- 32.9°, I 32
- 32.0°, I 32
- 56.9°, I 21
- 58.0°, I 18
- 26.3°, I 17
- 23.2°, I 16
- 42.5°, I 12
- 41.8°, I 12

```
La3Ni2O7
1.0
10.181 -2.798 0.000
10.181 2.798 0.000
0.000 0.000 5.452
La Ni O
6 4 14
direct
0.056 0.583 0.750 La
0.250 0.750 0.750 La
0.417 0.944 0.750 La
0.583 0.056 0.250 La
0.750 0.250 0.250 La
0.944 0.417 0.250 La
0.156 0.650 0.250 Ni
0.350 0.844 0.250 Ni
0.650 0.156 0.750 Ni
0.844 0.350 0.750 Ni
0.013 0.397 0.750 O
0.086 0.086 0.000 O
0.086 0.086 0.500 O
0.327 0.673 0.250 O
0.388 0.388 0.000 O
0.388 0.388 0.500 O
0.397 0.013 0.250 O
0.603 0.987 0.750 O
0.612 0.612 0.000 O
0.612 0.612 0.500 O
0.673 0.327 0.750 O
0.914 0.914 0.000 O
0.914 0.914 0.500 O
0.987 0.603 0.250 O
```